[1]
Simulated PXRD pattern
Compound: Zr4WC5
Radiation: CuKα
Structure: a crystal structure in the Materials Project, relaxed with GGA-PBE

Most intense lines, 10° ≤ 2θ ≤ 90°, in order of falling intensity:
Position (°2θ)  I/Imax  hkl
33.4  100  0 1 5
38.8  96  1 0 10
66.7  41  2 0 5
33.5  33  0 0 15
55.9  32  1 1 0
56.1  31  0 1 20
70.1  16  0 2 10
66.9  13  1 0 25

Structural model:
```
data_Zr4WC5
_chemical_formula_sum 'Zr12 W3 C15'
_symmetry_space_group_name_H-M 'R -3 m'
_symmetry_Int_Tables_number 166
_symmetry_space_group_name_Hall '-R 3 2"'
_cell_length_a 3.2908
_cell_length_b 3.2908
_cell_length_c 40.1197
_cell_angle_alpha 90.00
_cell_angle_beta 90.00
_cell_angle_gamma 120.00
loop_
_atom_site_label
_atom_site_type_symbol
_atom_site_fract_x
_atom_site_fract_y
_atom_site_fract_z
_atom_site_occupancy
Zr1 Zr 0.0000 0.0000 0.1022 1
Zr2 Zr 0.0000 0.0000 0.2993 1
W1 W 0.0000 0.0000 0.5000 1
C1 C 0.0000 0.0000 0.0000 1
C2 C 0.0000 0.0000 0.1956 1
C3 C 0.0000 0.0000 0.4019 1
```



[2]
Simulated PXRD pattern
Compound: Sr2SmSbO6
Radiation: CuKα
Structure: a crystal structure in the Materials Project, relaxed with GGA-PBE

Most intense lines, 10° ≤ 2θ ≤ 90°, in order of falling intensity:
Position (°2θ)  I/Imax  hkl
29.7  100  2 2 0
52.7  40  4 2 2
42.5  32  4 0 0
85.5  22  6 4 2
61.7  20  4 4 0
70.0  18  6 2 0
20.9  12  2 0 0
77.8  6  4 4 4

Structural model:
```
data_Sr2SmSbO6
_chemical_formula_sum 'Sr8 Sm4 Sb4 O24'
_symmetry_space_group_name_H-M 'F m -3 m'
_symmetry_Int_Tables_number 225
_symmetry_space_group_name_Hall '-F 4 2 3'
_cell_length_a 8.5026
_cell_length_b 8.5026
_cell_length_c 8.5026
_cell_angle_alpha 90.00
_cell_angle_beta 90.00
_cell_angle_gamma 90.00
loop_
_atom_site_label
_atom_site_type_symbol
_atom_site_fract_x
_atom_site_fract_y
_atom_site_fract_z
_atom_site_occupancy
Sr1 Sr 0.2500 0.2500 0.2500 1
Sm1 Sm 0.0000 0.0000 0.0000 1
Sb1 Sb 0.0000 0.0000 0.5000 1
O1 O 0.0000 0.0000 0.2654 1
```



[3]
Simulated PXRD pattern
Compound: SrSnO3
Radiation: CuKα
Structure: a crystal structure in the Materials Project, relaxed with GGA-PBE

Most intense lines, 10° ≤ 2θ ≤ 90°, in order of falling intensity:
Position (°2θ)  I/Imax  hkl
30.9  100  1 2 1
44.2  35  0 4 0
54.9  28  1 2 3
30.7  20  2 0 0
54.7  15  3 2 1
89.6  15  1 2 5
64.3  13  2 4 2
73.1  11  1 6 1

Structural model:
```
data_SrSnO3
_chemical_formula_sum 'Sr4 Sn4 O12'
_symmetry_space_group_name_H-M 'P n m a'
_symmetry_Int_Tables_number 62
_cell_length_a 5.8175
_cell_length_b 8.1907
_cell_length_c 5.7864
_cell_angle_alpha 90.00
_cell_angle_beta 90.00
_cell_angle_gamma 90.00
loop_
_symmetry_equiv_pos_as_xyz
'x,y,z'
'-x,-y,-z'
'-x+1/2,-y,z+1/2'
'x+1/2,y,-z+1/2'
'x+1/2,-y+1/2,-z+1/2'
'-x+1/2,y+1/2,z+1/2'
'-x,y+1/2,-z'
'x,-y+1/2,z'
loop_
_atom_site_label
_atom_site_type_symbol
_atom_site_fract_x
_atom_site_fract_y
_atom_site_fract_z
_atom_site_occupancy
Sr1 Sr 0.0325 0.2500 0.0071 1
Sn1 Sn 0.0000 0.0000 0.5000 1
O1 O 0.0185 0.7500 0.4262 1
O2 O 0.2142 0.5390 0.7866 1
```



[4]
Simulated PXRD pattern
Compound: SbH6N2F5
Radiation: CuKα
Structure: a crystal structure in the Materials Project, relaxed with GGA-PBE

Most intense lines, 10° ≤ 2θ ≤ 90°, in order of falling intensity:
Position (°2θ)  I/Imax  hkl
20.9  100  1 1 1
24.0  81  1 2 1
13.6  76  0 2 0
19.7  39  1 0 1
37.7  37  0 4 2
31.3  34  2 1 0
28.5  30  1 3 1
44.0  28  1 2 3

Structural model:
```
data_SbH6N2F5
_chemical_formula_sum 'Sb4 H24 N8 F20'
_symmetry_space_group_name_H-M 'P n m a'
_symmetry_Int_Tables_number 62
_cell_length_a 5.8666
_cell_length_b 13.0585
_cell_length_c 7.0088
_cell_angle_alpha 90.00
_cell_angle_beta 90.00
_cell_angle_gamma 90.00
loop_
_symmetry_equiv_pos_as_xyz
'x,y,z'
'-x,-y,-z'
'-x+1/2,-y,z+1/2'
'x+1/2,y,-z+1/2'
'x+1/2,-y+1/2,-z+1/2'
'-x+1/2,y+1/2,z+1/2'
'-x,y+1/2,-z'
'x,-y+1/2,z'
loop_
_atom_site_label
_atom_site_type_symbol
_atom_site_fract_x
_atom_site_fract_y
_atom_site_fract_z
_atom_site_occupancy
Sb1 Sb 0.1016 0.2500 0.0146 1
H1 H 0.0727 0.0937 0.4099 1
H2 H 0.0976 0.0645 0.6526 1
H3 H 0.2445 0.5058 0.4732 1
N1 N 0.0946 0.0351 0.5088 1
F1 F 0.0886 0.0893 0.8661 1
F2 F 0.0951 0.7500 0.3940 1
F3 F 0.2442 0.1507 0.2082 1
```



[5]
Simulated PXRD pattern
Compound: TaPt3
Radiation: CuKα
Structure: a crystal structure in the Materials Project, relaxed with GGA-PBE

Most intense lines, 10° ≤ 2θ ≤ 90°, in order of falling intensity:
Position (°2θ)  I/Imax  hkl
40.3  100  1 2 -2
43.7  81  1 2 2
39.0  81  0 0 4
40.1  54  2 0 1
43.0  45  2 0 -3
37.4  36  1 2 -1
65.8  35  3 2 -1
37.0  26  2 0 0

Structural model:
```
data_TaPt3
_chemical_formula_sum 'Ta4 Pt12'
_symmetry_space_group_name_H-M 'P 1 21/m 1'
_symmetry_Int_Tables_number 11
_cell_length_a 4.9368
_cell_length_b 5.6120
_cell_length_c 9.3961
_cell_angle_alpha 90.00
_cell_angle_beta 100.59
_cell_angle_gamma 90.00
loop_
_symmetry_equiv_pos_as_xyz
'x,y,z'
'-x,-y,-z'
'-x,y+1/2,-z'
'x,-y+1/2,z'
loop_
_atom_site_label
_atom_site_type_symbol
_atom_site_fract_x
_atom_site_fract_y
_atom_site_fract_z
_atom_site_occupancy
Ta1 Ta 0.1232 0.2500 0.3780 1
Ta2 Ta 0.2856 0.2500 0.8727 1
Pt1 Pt 0.1113 0.7500 0.3758 1
Pt2 Pt 0.2085 0.0010 0.1235 1
Pt3 Pt 0.2935 0.7500 0.8729 1
Pt4 Pt 0.3765 0.5016 0.6257 1
```



[6]
Simulated PXRD pattern
Compound: MgNi4Sb4S4
Radiation: CuKα
Structure: a crystal structure in the Materials Project, relaxed with GGA-PBE

Most intense lines, 10° ≤ 2θ ≤ 90°, in order of falling intensity:
Position (°2θ)  I/Imax  hkl
32.4  100  1 1 3
35.8  93  3 0 0
32.6  45  3 -1 1
49.0  35  4 -2 3
20.4  22  1 1 0
56.0  22  2 3 2
55.5  21  2 -1 6
41.3  17  0 2 4

Structural model:
```
data_MgNi4Sb4S4
_chemical_formula_sum 'Mg3 Ni12 Sb12 S12'
_symmetry_space_group_name_H-M 'R 3'
_symmetry_Int_Tables_number 146
_symmetry_space_group_name_Hall 'R 3'
_cell_length_a 8.6910
_cell_length_b 8.6910
_cell_length_c 10.7487
_cell_angle_alpha 90.00
_cell_angle_beta 90.00
_cell_angle_gamma 120.00
loop_
_atom_site_label
_atom_site_type_symbol
_atom_site_fract_x
_atom_site_fract_y
_atom_site_fract_z
_atom_site_occupancy
Mg1 Mg 0.0000 0.0000 0.0000 1
Ni1 Ni 0.0000 0.0000 0.2385 1
Ni2 Ni 0.1333 0.7907 0.5395 1
Sb1 Sb 0.0000 0.0000 0.5548 1
Sb2 Sb 0.0598 0.3804 0.7707 1
S1 S 0.0000 0.0000 0.7897 1
S2 S 0.0972 0.6913 0.0034 1
```